The following is a theoretical XRD peak list of MnNi2Rh5. It was derived from a GGA-PBE-relaxed structure, using Cu Kα (λ = 1.5418 Å).
Intensities are scaled so that the largest is 100.

Most intense lines, 2θ from 5° to 70°, sorted by position:
24.14 deg, intensity 5, (0 0 4)
29.71 deg, intensity 1, (1 0 3)
33.37 deg, intensity 3, (1 1 0)
41.59 deg, intensity 100, (1 1 4)
47.91 deg, intensity 33, (2 0 0)
49.38 deg, intensity 15, (0 0 8)
54.34 deg, intensity 2, (2 0 4)
60.91 deg, intensity 1, (1 1 8)

Crystal structure
```
MnNi2Rh5
1.0
3.798 0.000 0.000
0.000 3.798 0.000
0.000 0.000 14.764
Mn Ni Rh
2 4 10
Cartesian
0.000 0.000 0.000
1.899 1.899 7.382
0.000 0.000 3.687
0.000 0.000 11.077
1.899 1.899 3.695
1.899 1.899 11.069
0.000 0.000 7.382
0.000 1.899 1.905
0.000 1.899 5.476
0.000 1.899 9.287
0.000 1.899 12.858
1.899 0.000 1.905
1.899 0.000 5.476
1.899 0.000 9.287
1.899 0.000 12.858
1.899 1.899 0.000
```